Entry 1:
For Ac2La2Pr5, a cell relaxed with PBE gives the theoretical powder diffraction line list in this record (Cu Kα (λ = 1.5418 Å)).
Neutral-atom scattering factors, no anomalous dispersion.

Principal peaks in the range 15 to 90 degrees two-theta, sorted by position:
- (4 1 1), 2θ 27.0, I = 100
- (0 4 0), 2θ 28.3, I = 91
- (0 2 2), 2θ 29.0, I = 83
- (5 1 0), 2θ 29.5, I = 42
- (2 2 2), 2θ 31.2, I = 43
- (3 1 2), 2θ 31.4, I = 33
- (4 3 1), 2θ 33.8, I = 72
- (4 1 3), 2θ 45.6, I = 25
- (8 2 2), 2θ 55.8, I = 25
- (0 8 0), 2θ 58.6, I = 28

Cell and atoms:
Unit cell a=15.609 b=12.597 c=7.063 alpha=90.00 beta=90.00 gamma=90.00
Space group Ima2 (No. 46)
Asymmetric unit:
Ac 0.000 0.000 0.000
Ac 0.250 0.003 0.056
La 0.125 0.006 0.530
Pr 0.056 0.749 0.177
Pr 0.142 0.235 0.853
Pr 0.250 0.730 0.888


Entry 2:
For Ac2La4Pr3, a cell relaxed with PBE gives the theoretical powder diffraction line list in this record (Cu Kα (λ = 1.5418 Å)).
Neutral-atom scattering factors, no anomalous dispersion.

Principal peaks in the range 15 to 90 degrees two-theta, sorted by position:
- (2 1 -2), 2θ 25.8, I = 26
- (1 2 1), 2θ 26.2, I = 27
- (2 2 -1), 2θ 28.3, I = 100
- (2 1 1), 2θ 28.7, I = 15
- (1 1 -3), 2θ 30.6, I = 45
- (0 3 1), 2θ 31.4, I = 34
- (3 0 -2), 2θ 31.6, I = 13
- (3 0 0), 2θ 32.4, I = 17
- (3 1 -4), 2θ 44.1, I = 14
- (0 2 5), 2θ 57.0, I = 19

Cell and atoms:
Unit cell a=8.871 b=9.058 c=9.260 alpha=90.00 beta=110.87 gamma=90.00
Space group P2_1/c (No. 14)
Asymmetric unit:
Ac 0.171 0.153 0.048
La 0.085 0.537 0.868
La 0.485 0.140 0.855
Pr 0.243 0.670 0.255
Pr 0.500 0.000 0.500


Entry 3:
For Ac5La2Pr12, a cell relaxed with PBE gives the theoretical powder diffraction line list in this record (Cu Kα (λ = 1.5418 Å)).
Neutral-atom scattering factors, no anomalous dispersion.

Principal peaks in the range 15 to 90 degrees two-theta, sorted by position:
- (4 2 -1), 2θ 28.7, I = 100
- (2 0 -3), 2θ 29.5, I = 31
- (6 0 1), 2θ 29.7, I = 33
- (0 2 2), 2θ 31.8, I = 14
- (8 0 -2), 2θ 32.1, I = 35
- (2 2 2), 2θ 34.6, I = 43
- (6 2 -4), 2θ 47.8, I = 15
- (10 2 0), 2θ 48.1, I = 17
- (12 2 -3), 2θ 55.2, I = 15
- (6 4 1), 2θ 58.1, I = 12

Cell and atoms:
Unit cell a=23.366 b=7.481 c=9.121 alpha=90.00 beta=110.25 gamma=90.00
Space group C2/m (No. 12)
Asymmetric unit:
Ac 0.000 0.000 0.000
Ac 0.153 0.500 0.590
Ac 0.246 0.000 0.987
La 0.000 0.255 0.500
Pr 0.047 0.500 0.191
Pr 0.106 0.262 0.879
Pr 0.144 0.000 0.559
Pr 0.198 0.253 0.289


Entry 4:
For AcLa3Pr4, a cell relaxed with PBE gives the theoretical powder diffraction line list in this record (Cu Kα (λ = 1.5418 Å)).
Neutral-atom scattering factors, no anomalous dispersion.

Principal peaks in the range 15 to 90 degrees two-theta, sorted by position:
- (2 2 0), 2θ 29.1, I = 100
- (4 0 0), 2θ 33.6, I = 17
- (0 2 2), 2θ 33.8, I = 34
- (4 2 2), 2θ 48.4, I = 25
- (0 0 4), 2θ 48.6, I = 12
- (6 2 0), 2θ 57.3, I = 15
- (2 2 4), 2θ 57.7, I = 29
- (4 0 4), 2θ 60.4, I = 13
- (6 2 4), 2θ 78.4, I = 12
- (2 0 6), 2θ 78.7, I = 6

Cell and atoms:
Unit cell a=10.676 b=7.498 c=7.490 alpha=90.00 beta=90.00 gamma=90.00
Space group Pmn2_1 (No. 31)
Asymmetric unit:
Ac 0.000 0.000 0.000
La 0.000 0.500 0.500
La 0.250 0.254 0.250
Pr 0.000 0.000 0.500
Pr 0.000 0.500 0.000
Pr 0.250 0.254 0.750


Entry 5:
For Ac3La2Pr7, a cell relaxed with PBE gives the theoretical powder diffraction line list in this record (Cu Kα (λ = 1.5418 Å)).
Neutral-atom scattering factors, no anomalous dispersion.

Principal peaks in the range 15 to 90 degrees two-theta, sorted by position:
- (0 0 5), 2θ 21.2, I = 10
- (0 1 4), 2θ 22.5, I = 13
- (1 1 1), 2θ 28.3, I = 15
- (1 1 -3), 2θ 29.6, I = 100
- (0 2 0), 2θ 29.8, I = 57
- (1 1 3), 2θ 31.4, I = 26
- (0 1 7), 2θ 33.4, I = 30
- (2 0 -1), 2θ 47.3, I = 14
- (1 3 -3), 2θ 52.7, I = 20
- (2 2 -1), 2θ 56.9, I = 18

Cell and atoms:
Unit cell a=3.846 b=6.001 c=21.043 alpha=90.00 beta=95.03 gamma=90.00
Space group P2/m (No. 10)
Asymmetric unit:
Ac 0.000 0.000 0.000
Ac 0.320 0.500 0.633
La 0.134 0.000 0.282
Pr 0.082 0.500 0.174
Pr 0.219 0.000 0.435
Pr 0.434 0.000 0.859
Pr 0.500 0.500 0.000


Entry 6:
For AcLa8Pr3, a cell relaxed with PBE gives the theoretical powder diffraction line list in this record (Cu Kα (λ = 1.5418 Å)).
Neutral-atom scattering factors, no anomalous dispersion.

Principal peaks in the range 15 to 90 degrees two-theta, sorted by position:
- (1 1 0), 2θ 15.1, I = 18
- (1 1 2), 2θ 21.2, I = 16
- (2 0 0), 2θ 26.3, I = 13
- (0 0 4), 2θ 29.9, I = 34
- (1 3 2), 2θ 30.3, I = 100
- (2 2 0), 2θ 30.5, I = 14
- (2 2 2), 2θ 34.0, I = 36
- (0 4 4), 2θ 43.2, I = 17
- (3 3 2), 2θ 49.0, I = 13
- (1 3 6), 2θ 53.4, I = 16

Cell and atoms:
Unit cell a=6.768 b=11.778 c=11.937 alpha=90.00 beta=90.00 gamma=90.00
Space group Immm (No. 71)
Asymmetric unit:
Ac 0.000 0.000 0.000
La 0.000 0.177 0.253
La 0.222 0.277 0.000
Pr 0.000 0.000 0.500
Pr 0.000 0.500 0.231


Entry 7:
For Ac12LaPr7, a cell relaxed with PBE gives the theoretical powder diffraction line list in this record (Cu Kα (λ = 1.5418 Å)).
Neutral-atom scattering factors, no anomalous dispersion.

Principal peaks in the range 15 to 90 degrees two-theta, sorted by position:
- (0 0 3), 2θ 27.4, I = 38
- (5 -2 1), 2θ 27.7, I = 100
- (2 3 2), 2θ 32.0, I = 78
- (5 -2 4), 2θ 45.8, I = 27
- (7 1 0), 2θ 46.1, I = 28
- (2 3 5), 2θ 54.2, I = 13
- (7 1 3), 2θ 54.5, I = 27
- (4 6 1), 2θ 54.7, I = 14
- (10 -4 2), 2θ 57.3, I = 14
- (9 4 2), 2θ 76.5, I = 10

Cell and atoms:
Unit cell a=17.1494 b=17.1494 c=9.7518 alpha=90.00 beta=90.00 gamma=120.00
Space group R-3 (No. 148, hexagonal axes)
Asymmetric unit:
Ac 0.0311 0.7620 0.3447
Ac 0.0711 0.5062 0.6623
La 0.0000 0.0000 0.5000
Pr 0.0000 0.0000 0.0000
Pr 0.0168 0.8623 0.6953


Entry 8:
For AcLa7Pr12, a cell relaxed with PBE gives the theoretical powder diffraction line list in this record (Cu Kα (λ = 1.5418 Å)).
Neutral-atom scattering factors, no anomalous dispersion.

Principal peaks in the range 15 to 90 degrees two-theta, sorted by position:
- (1 0 4), 2θ 28.3, I = 31
- (3 1 2), 2θ 29.9, I = 42
- (4 0 1), 2θ 30.2, I = 100
- (0 4 2), 2θ 32.6, I = 26
- (3 2 1), 2θ 32.9, I = 14
- (0 1 5), 2θ 35.1, I = 10
- (3 0 6), 2θ 47.5, I = 15
- (4 4 0), 2θ 52.3, I = 14
- (4 3 4), 2θ 53.9, I = 19
- (0 7 2), 2θ 54.9, I = 12

Cell and atoms:
Unit cell a=13.9931 b=13.9931 c=13.0468 alpha=90.00 beta=90.00 gamma=120.00
Space group R-3m (No. 166, hexagonal axes)
Asymmetric unit:
Ac 0.0000 0.0000 0.0000
La 0.0000 0.0000 0.5000
La 0.0898 0.1797 0.7640
Pr 0.0000 0.2601 0.0000
Pr 0.0441 0.5221 0.1157


Copy entry 8 word for word.
For AcLa7Pr12, a cell relaxed with PBE gives the theoretical powder diffraction line list in this record (Cu Kα (λ = 1.5418 Å)).
Neutral-atom scattering factors, no anomalous dispersion.

Principal peaks in the range 15 to 90 degrees two-theta, sorted by position:
- (1 0 4), 2θ 28.3, I = 31
- (3 1 2), 2θ 29.9, I = 42
- (4 0 1), 2θ 30.2, I = 100
- (0 4 2), 2θ 32.6, I = 26
- (3 2 1), 2θ 32.9, I = 14
- (0 1 5), 2θ 35.1, I = 10
- (3 0 6), 2θ 47.5, I = 15
- (4 4 0), 2θ 52.3, I = 14
- (4 3 4), 2θ 53.9, I = 19
- (0 7 2), 2θ 54.9, I = 12

Cell and atoms:
Unit cell a=13.9931 b=13.9931 c=13.0468 alpha=90.00 beta=90.00 gamma=120.00
Space group R-3m (No. 166, hexagonal axes)
Asymmetric unit:
Ac 0.0000 0.0000 0.0000
La 0.0000 0.0000 0.5000
La 0.0898 0.1797 0.7640
Pr 0.0000 0.2601 0.0000
Pr 0.0441 0.5221 0.1157